# 1
This entry pairs a crystal structure of CeTm3Sc7 with its calculated X-ray diffraction stick pattern. Radiation: Cu Kα (weighted mean of Kα1 and Kα2). Structure: a PBE-relaxed structure.
Intensities are scaled so that the largest is 100.

Principal peaks in the range 10° ≤ 2θ ≤ 80°, low angle first:
hkl 0 0 2, 2θ = 16.67°, d = 5.319 Å, rel. 49.6; hkl 1 2 1, 2θ = 25.13°, d = 3.543 Å, rel. 100.0; hkl 2 0 0, 2θ = 33.29°, d = 2.692 Å, rel. 45.2; hkl 0 0 4, 2θ = 33.70°, d = 2.659 Å, rel. 35.2; hkl 0 4 0, 2θ = 34.17°, d = 2.624 Å, rel. 17.5; hkl 1 2 3, 2θ = 34.79°, d = 2.579 Å, rel. 82.6; hkl 1 3 2, 2θ = 34.93°, d = 2.569 Å, rel. 51.2; hkl 2 0 4, 2θ = 48.10°, d = 1.892 Å, rel. 25.5; hkl 3 2 3, 2θ = 60.49°, d = 1.531 Å, rel. 26.3; hkl 1 2 7, 2θ = 66.35°, d = 1.409 Å, rel. 15.4

abc: 5.383 10.495 10.637
angles: 90.00 90.00 90.00
Space group Immm (No. 71)
Asymmetric unit:
Ce1 0.000 0.000 0.000 (multiplicity 2)
Tm1 0.000 0.206 0.500 (multiplicity 4)
Tm2 0.000 0.500 0.000 (multiplicity 2)
Sc1 0.000 0.000 0.287 (multiplicity 4)
Sc2 0.000 0.308 0.216 (multiplicity 8)
Sc3 0.000 0.500 0.500 (multiplicity 2)



# 2
This entry pairs a crystal structure of Pr2Cd3 with its calculated X-ray diffraction stick pattern. Radiation: Cu Kα (weighted mean of Kα1 and Kα2). Structure: a PBE-relaxed structure.
Intensities are scaled so that the largest is 100.

Principal peaks in the range 10° ≤ 2θ ≤ 80°, low angle first:
hkl 1 3 1, 2θ = 32.06°, d = 2.792 Å, rel. 99.7; hkl 1 7 0, 2θ = 32.60°, d = 2.747 Å, rel. 55.9; hkl 0 10 1, 2θ = 34.22°, d = 2.620 Å, rel. 100.0; hkl 0 0 2, 2θ = 35.28°, d = 2.544 Å, rel. 48.2; hkl 1 7 2, 2θ = 48.79°, d = 1.866 Å, rel. 35.6; hkl 2 0 0, 2θ = 51.75°, d = 1.767 Å, rel. 23.1; hkl 0 20 0, 2θ = 60.58°, d = 1.528 Å, rel. 20.0; hkl 0 10 3, 2θ = 62.65°, d = 1.483 Å, rel. 16.6; hkl 2 10 1, 2θ = 63.50°, d = 1.465 Å, rel. 30.6; hkl 2 0 2, 2θ = 64.19°, d = 1.451 Å, rel. 23.7

abc: 3.534 30.561 5.087
angles: 90.00 90.00 90.00
Space group Cmcm (No. 63)
Asymmetric unit:
Pr1 0.000 0.073 0.250 (multiplicity 4)
Pr2 0.000 0.213 0.750 (multiplicity 4)
Cd1 0.000 0.328 0.750 (multiplicity 4)
Cd2 0.000 0.381 0.250 (multiplicity 4)
Cd3 0.000 0.477 0.250 (multiplicity 4)